CaV2PdO8: simulated powder diffraction line list (λ = 1.5418 Å (Cu Kα)), based on DFT lattice parameters and positions (PBE+U).
Kinematic intensities with the Lorentz-polarization factor, no thermal factor.

Cell and atoms:
a = 5.6280 Å, b = 5.6280 Å, c = 6.4186 Å
α = 90.00°, β = 90.00°, γ = 120.00°
Space group P-3m1 (No. 164)
One atom of each set of equivalent atoms:
Ca1 0.0000 0.0000 0.0000 (multiplicity 1)
V1 0.3333 0.6667 0.2347 (multiplicity 2)
Pd1 0.0000 0.0000 0.5000 (multiplicity 1)
O1 0.1562 0.3123 0.2986 (multiplicity 6)
O2 0.3333 0.6667 0.9775 (multiplicity 2)

Main lines, sorted by position (10 to 90 degrees two-theta):
h k l  two_theta  I (rel.)
1 0 0  18.2  49
1 0 1  22.9  100
1 1 0  31.8  65
1 0 2  33.4  48
2 0 2  46.8  35
2 1 1  51.6  20
2 1 2  57.7  24
1 1 4  67.2  14